Starting from a structure optimized by DFT (PBE), the X-ray diffraction stick pattern of Ti3PO2 was computed for copper Kα.

Atomic structure:
```
data_Ti3PO2
_chemical_formula_sum 'Ti3 P1 O2'
_space_group_name_H-M_alt 'P -3 m 1'
_space_group_IT_number 164
_space_group_name_Hall '-P 3 2"'
_cell_length_a 3.1724
_cell_length_b 3.1724
_cell_length_c 8.0228
_cell_angle_alpha 90.00
_cell_angle_beta 90.00
_cell_angle_gamma 120.00
loop_
_atom_site_label
_atom_site_type_symbol
_atom_site_fract_x
_atom_site_fract_y
_atom_site_fract_z
Ti1 Ti 0.0000 0.0000 0.0000
Ti2 Ti 0.3333 0.6667 0.7068
P1 P 0.0000 0.0000 0.5000
O1 O 0.3333 0.6667 0.1423
```

Most intense lines, 10 to 90 degrees two-theta, in order of falling intensity:
d_spacing  2θ (°)  intensity  hkl
2.267  39.77  100  0 1 2
1.586  58.16  30  1 1 0
2.599  34.51  27  1 0 1
1.620  56.83  19  1 0 4
1.300  72.77  14  2 0 2
1.916  47.44  14  1 0 3
1.244  76.58  6  1 1 4
1.386  67.61  5  1 0 5
1.133  85.72  5  0 2 4
2.006  45.21  5  0 0 4

Starting from a structure optimized by DFT (PBE), the X-ray diffraction stick pattern of SnH4 was computed for copper Kα.

Atomic structure:
```
data_SnH4
_chemical_formula_sum 'Sn4 H16'
_space_group_name_H-M_alt 'C 1 2/c 1'
_space_group_IT_number 15
_space_group_name_Hall '-C 2yc'
_cell_length_a 9.3454
_cell_length_b 4.8087
_cell_length_c 9.2503
_cell_angle_alpha 90.00
_cell_angle_beta 119.05
_cell_angle_gamma 90.00
loop_
_atom_site_label
_atom_site_type_symbol
_atom_site_fract_x
_atom_site_fract_y
_atom_site_fract_z
Sn1 Sn 0.0000 0.0712 0.2500
H1 H 0.0337 0.2765 0.4156
H2 H 0.1678 0.1353 0.8011
```

Most intense lines, 10 to 90 degrees two-theta, in order of falling intensity:
d_spacing  2θ (°)  intensity  hkl
4.144  21.44  100  1 1 0
3.333  26.74  60  1 1 -2
4.085  21.76  60  2 0 0
4.043  21.98  58  0 0 2
4.007  22.19  56  2 0 -2
2.591  34.61  38  1 1 2
2.572  34.88  34  3 1 -2
2.023  44.80  24  0 0 4
4.123  21.55  23  1 1 -1
2.370  37.97  23  3 1 0

Starting from a structure optimized by DFT (PBE), the X-ray diffraction stick pattern of LiSbP4O12 was computed for copper Kα.

Atomic structure:
```
data_LiSbP4O12
_chemical_formula_sum 'Li4 Sb4 P16 O48'
_space_group_name_H-M_alt 'C 1 2/c 1'
_space_group_IT_number 15
_space_group_name_Hall '-C 2yc'
_cell_length_a 12.3050
_cell_length_b 8.7270
_cell_length_c 10.3586
_cell_angle_alpha 90.00
_cell_angle_beta 118.95
_cell_angle_gamma 90.00
loop_
_atom_site_label
_atom_site_type_symbol
_atom_site_fract_x
_atom_site_fract_y
_atom_site_fract_z
Li1 Li 0.2500 0.2500 0.0000
Sb1 Sb 0.0000 0.0433 0.7500
P1 P 0.0037 0.2769 0.4729
P2 P 0.1930 0.4893 0.6961
O1 O 0.0362 0.1393 0.4101
O2 O 0.0531 0.2476 0.9287
O3 O 0.0834 0.3866 0.1620
O4 O 0.1294 0.3730 0.5562
O5 O 0.2082 0.0713 0.8267
O6 O 0.2266 0.4131 0.8374
```

Most intense lines, 10 to 90 degrees two-theta, in order of falling intensity:
d_spacing  2θ (°)  intensity  hkl
3.143  28.40  100  0 2 2
4.445  19.97  92  1 1 -2
3.540  25.16  69  3 1 -2
3.320  26.86  57  3 1 0
5.384  16.47  51  2 0 0
6.780  13.06  36  1 1 0
2.692  33.28  21  4 0 0
2.501  35.91  19  4 2 -2
4.363  20.35  16  0 2 0
2.200  41.02  15  1 3 -3